[1]
# CsHgBiI6
Theoretical powder X-ray diffraction pattern, Cu Kα (λ = 1.5418 Å). Input: a GGA-PBE-relaxed structure.
Peak positions follow from Bragg's law for the DFT cell and can differ from measured ones.

Structural model:
```
data_CsHgBiI6
_chemical_formula_sum 'Cs2 Hg2 Bi2 I12'
_cell_length_a 7.992
_cell_length_b 13.866
_cell_length_c 8.633
_cell_angle_alpha 90.00
_cell_angle_beta 90.10
_cell_angle_gamma 90.00
_space_group_name_H-M_alt 'C 1 2 1'
_space_group_IT_number 5
loop_
_space_group_symop_operation_xyz
'x,y,z'
'-x,y,-z'
'x+1/2,y+1/2,z'
'-x+1/2,y+1/2,-z'
loop_
_atom_site_label
_atom_site_type_symbol
_atom_site_fract_x
_atom_site_fract_y
_atom_site_fract_z
_atom_site_occupancy
Cs1 Cs 0.000 0.000 0.000 1
Hg1 Hg 0.000 0.667 0.500 1
Bi1 Bi 0.000 0.334 0.500 1
I1 I 0.125 0.502 0.291 1
I2 I 0.184 0.811 0.290 1
I3 I 0.191 0.187 0.291 1
```

Peak list (8 most intense, 15° ≤ 2θ ≤ 90°, most intense first)
hkl 2 0 2, d 2.934, 30.47 deg, rel. 100; hkl 2 0 1, d 3.629, 24.53 deg, rel. 82; hkl 1 1 1, d 5.403, 16.41 deg, rel. 71; hkl 3 3 0, d 2.309, 39.01 deg, rel. 41; hkl 1 3 3, d 2.336, 38.54 deg, rel. 31; hkl 2 4 -1, d 2.506, 35.84 deg, rel. 28; hkl 1 7 1, d 1.875, 48.54 deg, rel. 19; hkl 2 6 2, d 1.815, 50.28 deg, rel. 18

[2]
# K3Er3MgTe8
Theoretical powder X-ray diffraction pattern, Cu Kα (λ = 1.5418 Å). Input: a GGA-PBE-relaxed structure.
Peak positions follow from Bragg's law for the DFT cell and can differ from measured ones.

Structural model:
```
data_K3Er3MgTe8
_chemical_formula_sum 'K6 Er6 Mg2 Te16'
_cell_length_a 14.916
_cell_length_b 8.648
_cell_length_c 9.908
_cell_angle_alpha 90.00
_cell_angle_beta 119.98
_cell_angle_gamma 90.00
_space_group_name_H-M_alt 'C 1 2/m 1'
_space_group_IT_number 12
loop_
_space_group_symop_operation_xyz
'x,y,z'
'-x,-y,-z'
'-x,y,-z'
'x,-y,z'
'x+1/2,y+1/2,z'
'-x+1/2,-y+1/2,-z'
'-x+1/2,y+1/2,-z'
'x+1/2,-y+1/2,z'
loop_
_atom_site_label
_atom_site_type_symbol
_atom_site_fract_x
_atom_site_fract_y
_atom_site_fract_z
_atom_site_occupancy
K1 K 0.000 0.000 0.000 1
K2 K 0.250 0.250 0.000 1
Er1 Er 0.000 0.500 0.500 1
Er2 Er 0.250 0.250 0.500 1
Mg1 Mg 0.000 0.000 0.500 1
Te1 Te 0.015 0.251 0.295 1
Te2 Te 0.235 0.000 0.705 1
Te3 Te 0.236 0.500 0.709 1
```

Peak list (8 most intense, 15° ≤ 2θ ≤ 90°, most intense first)
hkl 4 0 0, d 3.232, 27.60 deg, rel. 100; hkl 2 2 2, d 2.441, 36.82 deg, rel. 24; hkl 6 2 -2, d 2.155, 41.92 deg, rel. 24; hkl 2 2 -3, d 2.621, 34.21 deg, rel. 23; hkl 4 4 0, d 1.797, 50.82 deg, rel. 12; hkl 0 4 0, d 2.162, 41.78 deg, rel. 12; hkl 4 0 -4, d 2.434, 36.94 deg, rel. 12; hkl 2 2 3, d 1.985, 45.70 deg, rel. 11

[3]
# Na2Tl5Sn2
Theoretical powder X-ray diffraction pattern, Cu Kα (λ = 1.5418 Å). Input: a GGA-PBE-relaxed structure.
Peak positions follow from Bragg's law for the DFT cell and can differ from measured ones.

Structural model:
```
data_Na2Tl5Sn2
_chemical_formula_sum 'Na4 Tl10 Sn4'
_cell_length_a 4.709
_cell_length_b 23.973
_cell_length_c 4.839
_cell_angle_alpha 90.00
_cell_angle_beta 90.00
_cell_angle_gamma 90.00
_space_group_name_H-M_alt 'C m m m'
_space_group_IT_number 65
_space_group_name_Hall '-C 2 2'
loop_
_atom_site_label
_atom_site_type_symbol
_atom_site_fract_x
_atom_site_fract_y
_atom_site_fract_z
_atom_site_occupancy
Na1 Na 0.000 0.200 0.000 1
Tl1 Tl 0.000 0.098 0.500 1
Tl2 Tl 0.000 0.397 0.000 1
Tl3 Tl 0.000 0.500 0.500 1
Sn1 Sn 0.000 0.295 0.500 1
```

Peak list (8 most intense, 15° ≤ 2θ ≤ 90°, most intense first)
hkl 1 5 1, d 2.760, 32.44 deg, rel. 100; hkl 0 0 2, d 2.420, 37.16 deg, rel. 18; hkl 0 10 0, d 2.397, 37.52 deg, rel. 17; hkl 2 0 0, d 2.354, 38.23 deg, rel. 16; hkl 1 5 3, d 1.454, 64.03 deg, rel. 15; hkl 3 5 1, d 1.426, 65.48 deg, rel. 14; hkl 1 15 1, d 1.444, 64.52 deg, rel. 13; hkl 1 1 1, d 3.342, 26.68 deg, rel. 13